# 1
Structure and simulated powder X-ray diffraction pattern of Cu4Ag5 (a DFT-relaxed cell (PBE, OQMD); Cu Kα (λ = 1.5418 Å)).

abc: 13.185 13.185 13.185
angles: 167.66 163.70 20.49
Fractional positions:
Cu (0.000, 0.000, 0.000)
Cu (0.095, 0.095, 0.000)
Cu (0.548, 0.548, 0.000)
Cu (0.892, 0.892, 0.000)
Ag (0.212, 0.212, 0.000)
Ag (0.337, 0.337, 0.000)
Ag (0.446, 0.446, 0.000)
Ag (0.649, 0.649, 0.000)
Ag (0.774, 0.774, 0.000)

Largest 10 diffraction maxima, by angle, 2θ from 10° to 80°:
Position (°2θ)	d (Å)	I (rel.)
34.06	2.632	175
39.47	2.283	850
39.93	2.258	1000
40.05	2.251	111
44.85	2.021	581
48.72	1.869	274
68.36	1.372	306
71.65	1.317	105
78.76	1.215	106
79.65	1.204	196

# 2
Structure and simulated powder X-ray diffraction pattern of Cu3Ag5 (a DFT-relaxed cell (PBE, OQMD); Cu Kα (λ = 1.5418 Å)).

abc: 5.635 5.635 3.951
angles: 90.00 90.00 91.00
Fractional positions:
Cu (0.000, 0.000, 0.000)
Cu (0.245, 0.755, 0.500)
Cu (0.755, 0.245, 0.500)
Ag (0.000, 0.500, 0.000)
Ag (0.239, 0.239, 0.500)
Ag (0.500, 0.000, 0.000)
Ag (0.500, 0.500, 0.000)
Ag (0.761, 0.761, 0.500)

Largest 10 diffraction maxima, by angle, 2θ from 10° to 80°:
Position (°2θ)	d (Å)	I (rel.)
22.51	3.950	33
27.57	3.235	18
31.76	2.818	29
39.28	2.294	1000
45.11	2.010	166
45.95	1.975	311
56.94	1.617	9
66.36	1.409	193
67.00	1.397	93
79.31	1.208	115

# 3
Structure and simulated powder X-ray diffraction pattern of Cu3Ag5 (a DFT-relaxed cell (PBE, OQMD); Cu Kα (λ = 1.5418 Å)).

abc: 18.299 18.299 18.299
angles: 8.85 8.85 8.85
Fractional positions:
Cu (0.000, 0.000, 0.000)
Cu (0.126, 0.126, 0.126)
Cu (0.874, 0.874, 0.874)
Ag (0.248, 0.248, 0.248)
Ag (0.373, 0.373, 0.373)
Ag (0.500, 0.500, 0.500)
Ag (0.627, 0.627, 0.627)
Ag (0.752, 0.752, 0.752)

Largest 10 diffraction maxima, by angle, 2θ from 10° to 80°:
Position (°2θ)	d (Å)	I (rel.)
14.58	6.075	32
24.42	3.645	51
38.59	2.333	30
39.14	2.302	1000
39.56	2.278	310
45.63	1.988	623
66.22	1.411	195
66.80	1.400	181
79.70	1.203	113
79.97	1.200	214

# 4
Structure and simulated powder X-ray diffraction pattern of Cu3Ag7 (a DFT-relaxed cell (PBE, OQMD); Cu Kα (λ = 1.5418 Å)).

abc: 4.950 7.446 9.899
angles: 103.75 99.03 108.20
Fractional positions:
Cu (0.000, 0.000, 0.000)
Cu (0.022, 0.483, 0.759)
Cu (0.192, 0.196, 0.811)
Cu (0.402, 0.392, 0.611)
Cu (0.611, 0.591, 0.411)
Cu (0.823, 0.290, 0.956)
Ag (0.003, 0.493, 0.256)
Ag (0.016, 0.997, 0.518)
Ag (0.192, 0.688, 0.046)
Ag (0.216, 0.200, 0.313)
Ag (0.223, 0.686, 0.561)
Ag (0.398, 0.381, 0.098)
Ag (0.409, 0.903, 0.861)
Ag (0.418, 0.889, 0.362)
Ag (0.601, 0.573, 0.894)
Ag (0.612, 0.093, 0.155)
Ag (0.614, 0.114, 0.674)
Ag (0.806, 0.303, 0.469)
Ag (0.806, 0.791, 0.204)
Ag (0.816, 0.785, 0.709)

Largest 10 diffraction maxima, by angle, 2θ from 10° to 80°:
Position (°2θ)	d (Å)	I (rel.)
38.55	2.336	338
38.83	2.319	1000
44.61	2.031	443
45.95	1.975	194
64.75	1.440	66
65.10	1.433	67
65.76	1.420	122
77.94	1.226	74
78.25	1.222	77
78.36	1.220	111

# 5
Structure and simulated powder X-ray diffraction pattern of Cu5Ag3 (a DFT-relaxed cell (PBE, OQMD); Cu Kα (λ = 1.5418 Å)).

abc: 6.651 6.053 4.725
angles: 75.09 61.56 43.35
Fractional positions:
Cu (0.000, 0.000, 0.000)
Cu (0.135, 0.135, 0.365)
Cu (0.244, 0.244, 0.756)
Cu (0.365, 0.365, 0.135)
Cu (0.756, 0.756, 0.244)
Ag (0.500, 0.500, 0.500)
Ag (0.623, 0.623, 0.877)
Ag (0.877, 0.877, 0.623)

Largest 10 diffraction maxima, by angle, 2θ from 10° to 80°:
Position (°2θ)	d (Å)	I (rel.)
21.62	4.110	49
31.96	2.800	46
40.66	2.219	1000
46.40	1.957	16
46.97	1.934	163
47.46	1.916	310
63.74	1.460	12
69.00	1.361	187
69.27	1.356	47
69.49	1.353	43

# 6
Structure and simulated powder X-ray diffraction pattern of Cu3Ag5 (a DFT-relaxed cell (PBE, OQMD); Cu Kα (λ = 1.5418 Å)).

abc: 5.745 2.860 8.182
angles: 90.00 110.32 90.00
Fractional positions:
Cu (0.000, 0.000, 0.000)
Cu (0.357, 0.500, 0.235)
Cu (0.643, 0.500, 0.765)
Ag (0.111, 0.500, 0.756)
Ag (0.267, 0.000, 0.509)
Ag (0.500, 0.000, 0.000)
Ag (0.733, 0.000, 0.491)
Ag (0.889, 0.500, 0.244)

Largest 10 diffraction maxima, by angle, 2θ from 10° to 80°:
Position (°2θ)	d (Å)	I (rel.)
39.10	2.304	327
39.28	2.293	1000
44.72	2.027	449
47.40	1.918	183
65.25	1.430	70
67.09	1.395	116
67.31	1.391	120
78.50	1.218	71
78.74	1.215	149
78.88	1.214	77

# 7
Structure and simulated powder X-ray diffraction pattern of Cu3Ag5 (a DFT-relaxed cell (PBE, OQMD); Cu Kα (λ = 1.5418 Å)).

abc: 4.840 2.849 9.332
angles: 90.00 99.59 90.00
Fractional positions:
Cu (0.000, 0.000, 0.000)
Cu (0.244, 0.500, 0.237)
Cu (0.756, 0.500, 0.763)
Ag (0.000, 0.500, 0.500)
Ag (0.242, 0.000, 0.754)
Ag (0.500, 0.000, 0.500)
Ag (0.500, 0.500, 0.000)
Ag (0.758, 0.000, 0.246)

Largest 10 diffraction maxima, by angle, 2θ from 10° to 80°:
Position (°2θ)	d (Å)	I (rel.)
38.90	2.315	1000
39.16	2.300	481
39.54	2.279	474
45.41	1.997	625
45.65	1.987	308
66.09	1.414	186
66.62	1.404	186
79.07	1.211	111
79.32	1.208	112
79.83	1.202	265

# 8
Structure and simulated powder X-ray diffraction pattern of Cu3Ag2 (a DFT-relaxed cell (PBE, OQMD); Cu Kα (λ = 1.5418 Å)).

abc: 4.735 4.735 8.626
angles: 90.18 90.18 47.64
Fractional positions:
Cu (0.000, 0.000, 0.000)
Cu (0.099, 0.099, 0.680)
Cu (0.201, 0.201, 0.388)
Cu (0.306, 0.306, 0.101)
Cu (0.501, 0.501, 0.485)
Cu (0.902, 0.902, 0.288)
Ag (0.407, 0.407, 0.790)
Ag (0.601, 0.601, 0.199)
Ag (0.702, 0.702, 0.897)
Ag (0.798, 0.798, 0.576)

Largest 10 diffraction maxima, by angle, 2θ from 10° to 80°:
Position (°2θ)	d (Å)	I (rel.)
25.46	3.499	32
32.96	2.718	24
40.57	2.224	1000
46.88	1.938	162
47.14	1.928	153
47.55	1.912	157
68.62	1.368	47
68.72	1.366	44
69.00	1.361	95
69.20	1.358	90